NpNi6P4: calculated powder XRD pattern (λ = 1.5418 Å (Cu Kα)), based on a DFT-relaxed cell (GGA-PBE, Alexandria).
No peak broadening, texture or thermal motion is included.

Structural model:
Cell lengths 6.1509, 6.1509, 7.8777 Å; angles 90.00, 90.00, 90.00 degrees
Space group I-42m (No. 121)
Asymmetric unit:
Np (0.0000, 0.0000, 0.0000) x2
Ni (0.0000, 0.5000, 0.0000) x4
Ni (0.1462, 0.1462, 0.6269) x8
P (0.2133, 0.2133, 0.3520) x8

Top 8 peaks for 2θ = 15–90°, in order of falling intensity:
| index | 2θ/deg | d/Å | I_rel |
| --- | --- | --- | --- |
| 2 1 1 | 34.54 | 2.597 | 100 |
| 2 0 2 | 37.09 | 2.424 | 75 |
| 1 0 3 | 37.23 | 2.415 | 66 |
| 3 0 1 | 45.73 | 1.984 | 53 |
| 1 1 0 | 20.42 | 4.349 | 43 |
| 0 0 2 | 22.57 | 3.939 | 43 |
| 2 0 4 | 55.40 | 1.659 | 40 |
| 2 2 0 | 41.53 | 2.175 | 40 |